No. 1
Structure and theoretical PXRD pattern of CsP2IrSeS6 (the PBE geometry in OQMD; Cu Ka).
Lines closer than 0.1° are merged.

Structure:
Lattice parameters (Å, degrees): 6.5607 6.5607 7.0656 94.59 94.59 93.25
Fractional positions:
Cs: 0.0000 0.0000 0.0000
P: 0.5424 0.0407 0.4271
P: 0.9593 0.4576 0.5729
Ir: 0.4109 0.5891 0.5000
Se: 0.8911 0.1089 0.5000
S: 0.0731 0.5999 0.3502
S: 0.2240 0.4582 0.7495
S: 0.4001 0.9269 0.6498
S: 0.4162 0.2754 0.2993
S: 0.5418 0.7760 0.2505
S: 0.7246 0.5838 0.7007

Top 8 peaks for 10 to 90 degrees two-theta, by intensity:
| 2theta | d_spacing | I (rel.) |
| --- | --- | --- |
| 12.61 | 7.017 | 100.0 |
| 17.76 | 4.995 | 74.1 |
| 27.33 | 3.263 | 68.5 |
| 19.34 | 4.589 | 68.3 |
| 30.49 | 2.932 | 51.3 |
| 18.61 | 4.769 | 49.5 |
| 22.54 | 3.944 | 48.5 |
| 31.19 | 2.867 | 46.8 |

=====

No. 2
Structure and theoretical PXRD pattern of Cu2Ag5 (the PBE geometry in OQMD; Cu Ka).
Lines closer than 0.1° are merged.

Structure:
Lattice parameters (Å, degrees): 4.9781 4.9781 8.3083 93.22 93.22 33.64
Fractional positions:
Cu: 0.1597 0.1597 0.0683
Cu: 0.8403 0.8403 0.9317
Ag: 0.0000 0.0000 0.5000
Ag: 0.2794 0.2794 0.6547
Ag: 0.4422 0.4422 0.1881
Ag: 0.5578 0.5578 0.8119
Ag: 0.7206 0.7206 0.3453

Top 8 peaks for 10 to 90 degrees two-theta, by intensity:
| 2theta | d_spacing | I (rel.) |
| --- | --- | --- |
| 38.92 | 2.314 | 100.0 |
| 44.28 | 2.046 | 71.8 |
| 38.62 | 2.332 | 52.5 |
| 38.77 | 2.323 | 47.1 |
| 78.02 | 1.225 | 23.8 |
| 46.75 | 1.943 | 23.2 |
| 66.25 | 1.411 | 16.6 |
| 77.49 | 1.232 | 13.5 |

=====

No. 3
Structure and theoretical PXRD pattern of TaCl3F2 (the PBE geometry in OQMD; Cu Ka).
Lines closer than 0.1° are merged.

Structure:
Lattice parameters (Å, degrees): 9.5012 9.5012 9.5012 97.77 97.77 136.86
Fractional positions:
Ta: 0.0346 0.7568 0.8177
Ta: 0.2432 0.0609 0.2778
Ta: 0.7831 0.9654 0.7222
Ta: 0.9391 0.2169 0.1823
Cl: 0.0441 0.3599 0.4359
Cl: 0.1449 0.2920 0.7697
Cl: 0.1951 0.6732 0.8934
Cl: 0.3268 0.2202 0.5220
Cl: 0.3918 0.9559 0.3158
Cl: 0.5222 0.3752 0.2303
Cl: 0.6248 0.8551 0.1470
Cl: 0.6401 0.0760 0.6842
Cl: 0.6982 0.8049 0.4780
Cl: 0.7080 0.4778 0.8530
Cl: 0.7798 0.3018 0.1066
Cl: 0.9240 0.6082 0.5641
F: 0.0799 0.1241 0.2123
F: 0.1324 0.9201 0.0442
F: 0.2144 0.4627 0.1687
F: 0.2940 0.0457 0.8313
F: 0.5373 0.7060 0.7517
F: 0.8759 0.0882 0.9558
F: 0.9118 0.8676 0.7877
F: 0.9543 0.7856 0.2483

Top 8 peaks for 10 to 90 degrees two-theta, by intensity:
| 2theta | d_spacing | I (rel.) |
| --- | --- | --- |
| 14.53 | 6.097 | 100.0 |
| 20.35 | 4.364 | 68.5 |
| 20.10 | 4.418 | 59.5 |
| 28.76 | 3.105 | 50.5 |
| 22.50 | 3.952 | 39.3 |
| 25.50 | 3.493 | 35.2 |
| 42.17 | 2.143 | 29.0 |
| 49.93 | 1.827 | 26.2 |